# 1
For SmSbPt, a cell relaxed with GGA-PBE gives the simulated PXRD pattern in this record (CuKα).
Peak positions follow from Bragg's law for the DFT cell and can differ from measured ones.

Cell and atoms:
```
SmSbPt
1.0
0.000 3.395 3.395
3.395 0.000 3.395
3.395 3.395 0.000
Sm Sb Pt
1 1 1
direct
0.000 0.000 0.000
0.250 0.250 0.250
0.500 0.500 0.500
```

Main lines, in order of rising 2θ (10° ≤ 2θ ≤ 90°):
d/Å, I_rel
3.920, 19
3.395, 28
2.401, 100
2.047, 10
1.960, 8
1.698, 17
1.558, 4
1.518, 11
1.386, 36
1.200, 11
1.148, 3
1.132, 6

# 2
For Mg6SnW, a cell relaxed with GGA-PBE gives the simulated PXRD pattern in this record (CuKα).
Peak positions follow from Bragg's law for the DFT cell and can differ from measured ones.

Cell and atoms:
```
Mg6SnW
1.0
4.972 0.000 0.000
0.000 3.107 5.303
0.000 -3.107 5.303
Mg Sn W
6 1 1
direct
0.000 0.000 0.000
0.000 0.013 0.492
0.000 0.492 0.013
0.500 0.331 0.839
0.500 0.833 0.833
0.500 0.839 0.331
0.000 0.491 0.491
0.500 0.333 0.333
```

Main lines, in order of rising 2θ (10° ≤ 2θ ≤ 90°):
d/Å, I_rel
5.362, 100
5.303, 22
3.646, 26
3.627, 35
3.107, 17
2.681, 22
2.614, 43
2.486, 31
2.360, 78
2.340, 42
2.255, 28
1.410, 16

Number 2 is which compound?
Mg6SnW